Entry 1:
Diffraction record for Ce6Ga3Tc. The PXRD pattern is calculated, not measured: it uses a DFT-relaxed cell (PBE, Alexandria) and copper Kα.
Intensities are scaled so that the largest is 100.

```
data_Ce6Ga3Tc
_chemical_formula_sum 'Ce36 Ga18 Tc6'
_cell_length_a 10.4243
_cell_length_b 10.4243
_cell_length_c 15.6496
_cell_angle_alpha 90.00
_cell_angle_beta 90.00
_cell_angle_gamma 120.00
_space_group_name_H-M_alt 'R -3'
_space_group_IT_number 148
_space_group_name_Hall '-R 3'
loop_
_atom_site_label
_atom_site_type_symbol
_atom_site_fract_x
_atom_site_fract_y
_atom_site_fract_z
_atom_site_occupancy
Ce1 Ce 0.0748 0.2174 0.3839 1
Ce2 Ce 0.0745 0.8506 0.1575 1
Ga1 Ga 0.0362 0.5604 0.6296 1
Tc1 Tc 0.0000 0.0000 0.0000 1
Tc2 Tc 0.0000 0.0000 0.5000 1
```

Peak list (12 most intense, 15° ≤ 2θ ≤ 90°, low angle first)
| Position (°2θ) | I (rel.) | index |
| --- | --- | --- |
| 26.7 | 29 | 3 -1 1 |
| 28.5 | 28 | 1 2 2 |
| 29.7 | 18 | 3 0 0 |
| 34.4 | 28 | 0 0 6 |
| 34.9 | 100 | 3 -1 4 |
| 36.3 | 44 | 4 -3 1 |
| 37.7 | 21 | 3 1 2 |
| 39.1 | 50 | 1 2 5 |
| 49.5 | 21 | 5 -4 3 |
| 52.7 | 22 | 0 0 9 |
| 54.1 | 16 | 2 4 1 |
| 69.3 | 18 | 7 -1 2 |

Entry 2:
Diffraction record for Ce3GaTc. The PXRD pattern is calculated, not measured: it uses a DFT-relaxed cell (PBE, Alexandria) and copper Kα.
Intensities are scaled so that the largest is 100.

```
data_Ce3GaTc
_chemical_formula_sum 'Ce24 Ga8 Tc8'
_cell_length_a 6.4929
_cell_length_b 9.0378
_cell_length_c 15.8700
_cell_angle_alpha 90.00
_cell_angle_beta 90.00
_cell_angle_gamma 90.00
_space_group_name_H-M_alt 'F m m m'
_space_group_IT_number 69
_space_group_name_Hall '-F 2 2'
loop_
_atom_site_label
_atom_site_type_symbol
_atom_site_fract_x
_atom_site_fract_y
_atom_site_fract_z
_atom_site_occupancy
Ce1 Ce 0.0000 0.0000 0.1983 1
Ce2 Ce 0.0000 0.2051 0.4062 1
Ga1 Ga 0.1928 0.0000 0.0000 1
Tc1 Tc 0.2500 0.2500 0.2500 1
```

Peak list (12 most intense, 15° ≤ 2θ ≤ 90°, low angle first)
| Position (°2θ) | I (rel.) | index |
| --- | --- | --- |
| 27.5 | 27 | 2 0 0 |
| 30.0 | 20 | 0 2 4 |
| 32.9 | 57 | 1 1 5 |
| 33.3 | 57 | 1 3 1 |
| 35.7 | 40 | 2 0 4 |
| 35.9 | 100 | 2 2 2 |
| 39.5 | 59 | 0 2 6 |
| 39.9 | 27 | 0 4 0 |
| 41.1 | 33 | 2 2 4 |
| 52.4 | 16 | 1 3 7 |
| 60.7 | 35 | 1 5 5 |
| 71.3 | 17 | 4 2 6 |

Entry 3:
Diffraction record for Ce3Ga3Tc2. The PXRD pattern is calculated, not measured: it uses a DFT-relaxed cell (PBE, Alexandria) and copper Kα.
Intensities are scaled so that the largest is 100.

```
data_Ce3Ga3Tc2
_chemical_formula_sum 'Ce6 Ga6 Tc4'
_cell_length_a 15.6283
_cell_length_b 4.6428
_cell_length_c 4.8800
_cell_angle_alpha 90.00
_cell_angle_beta 99.33
_cell_angle_gamma 90.00
_space_group_name_H-M_alt 'C 1 2/m 1'
_space_group_IT_number 12
loop_
_space_group_symop_operation_xyz
'x,y,z'
'-x,-y,-z'
'-x,y,-z'
'x,-y,z'
'x+1/2,y+1/2,z'
'-x+1/2,-y+1/2,-z'
'-x+1/2,y+1/2,-z'
'x+1/2,-y+1/2,z'
loop_
_atom_site_label
_atom_site_type_symbol
_atom_site_fract_x
_atom_site_fract_y
_atom_site_fract_z
_atom_site_occupancy
Ce1 Ce 0.0000 0.0000 0.0000 1
Ce2 Ce 0.1635 0.0000 0.5758 1
Ga1 Ga 0.0000 0.5000 0.5000 1
Ga2 Ga 0.1313 0.5000 0.0615 1
Tc1 Tc 0.2073 0.0000 0.0869 1
```

Peak list (12 most intense, 15° ≤ 2θ ≤ 90°, low angle first)
| Position (°2θ) | I (rel.) | index |
| --- | --- | --- |
| 20.0 | 31 | 1 1 0 |
| 25.9 | 37 | 3 1 0 |
| 30.2 | 45 | 3 1 -1 |
| 33.6 | 98 | 3 1 1 |
| 34.9 | 100 | 6 0 0 |
| 37.3 | 62 | 0 0 2 |
| 37.4 | 69 | 5 1 -1 |
| 38.8 | 75 | 0 2 0 |
| 41.8 | 27 | 1 1 -2 |
| 53.2 | 24 | 6 2 0 |
| 54.9 | 40 | 0 2 2 |
| 66.9 | 26 | 3 3 1 |

Entry 4:
Diffraction record for Ce4Ga2Tc. The PXRD pattern is calculated, not measured: it uses a DFT-relaxed cell (PBE, Alexandria) and copper Kα.
Intensities are scaled so that the largest is 100.

```
data_Ce4Ga2Tc
_chemical_formula_sum 'Ce4 Ga2 Tc1'
_cell_length_a 7.3876
_cell_length_b 3.2779
_cell_length_c 7.7723
_cell_angle_alpha 90.00
_cell_angle_beta 107.77
_cell_angle_gamma 90.00
_space_group_name_H-M_alt 'P 1 2/m 1'
_space_group_IT_number 10
loop_
_space_group_symop_operation_xyz
'x,y,z'
'-x,-y,-z'
'-x,y,-z'
'x,-y,z'
loop_
_atom_site_label
_atom_site_type_symbol
_atom_site_fract_x
_atom_site_fract_y
_atom_site_fract_z
_atom_site_occupancy
Ce1 Ce 0.1600 0.0000 0.3560 1
Ce2 Ce 0.2990 0.5000 0.9557 1
Ga1 Ga 0.4718 0.5000 0.6539 1
Tc1 Tc 0.0000 0.0000 0.0000 1
```

Peak list (12 most intense, 15° ≤ 2θ ≤ 90°, low angle first)
| Position (°2θ) | I (rel.) | index |
| --- | --- | --- |
| 23.5 | 35 | 1 0 -2 |
| 30.1 | 97 | 1 1 0 |
| 30.5 | 31 | 1 0 2 |
| 31.0 | 32 | 1 1 -1 |
| 31.3 | 31 | 2 0 1 |
| 36.4 | 100 | 0 0 3 |
| 36.9 | 83 | 2 1 -1 |
| 38.7 | 29 | 3 0 -2 |
| 44.6 | 77 | 1 1 -3 |
| 49.4 | 45 | 2 1 2 |
| 56.1 | 32 | 0 2 0 |
| 68.8 | 31 | 0 2 3 |

Entry 5:
Diffraction record for Ce5Ga4Tc. The PXRD pattern is calculated, not measured: it uses a DFT-relaxed cell (PBE, Alexandria) and copper Kα.
Intensities are scaled so that the largest is 100.

```
data_Ce5Ga4Tc
_chemical_formula_sum 'Ce10 Ga8 Tc2'
_cell_length_a 9.5973
_cell_length_b 9.5973
_cell_length_c 5.4786
_cell_angle_alpha 90.00
_cell_angle_beta 90.00
_cell_angle_gamma 90.00
_space_group_name_H-M_alt 'I 4'
_space_group_IT_number 79
loop_
_space_group_symop_operation_xyz
'x,y,z'
'-y,x,z'
'-x,-y,z'
'y,-x,z'
'x+1/2,y+1/2,z+1/2'
'-y+1/2,x+1/2,z+1/2'
'-x+1/2,-y+1/2,z+1/2'
'y+1/2,-x+1/2,z+1/2'
loop_
_atom_site_label
_atom_site_type_symbol
_atom_site_fract_x
_atom_site_fract_y
_atom_site_fract_z
_atom_site_occupancy
Ce1 Ce 0.0000 0.0000 0.0000 1
Ce2 Ce 0.1397 0.7579 0.4982 1
Ga1 Ga 0.0600 0.6276 0.9984 1
Tc1 Tc 0.0000 0.0000 0.5485 1
```

Peak list (12 most intense, 15° ≤ 2θ ≤ 90°, low angle first)
| Position (°2θ) | I (rel.) | index |
| --- | --- | --- |
| 26.3 | 28 | 2 2 0 |
| 26.4 | 37 | 1 2 1 |
| 29.4 | 88 | 3 1 0 |
| 32.4 | 73 | 3 0 1 |
| 32.7 | 82 | 0 0 2 |
| 37.6 | 100 | 3 2 1 |
| 42.2 | 45 | 2 4 0 |
| 44.6 | 55 | 3 1 2 |
| 48.4 | 25 | 1 5 0 |
| 59.6 | 26 | 1 5 2 |
| 61.1 | 23 | 6 1 1 |
| 61.6 | 23 | 3 2 3 |

Entry 6:
Diffraction record for CeTh2Ga3. The PXRD pattern is calculated, not measured: it uses a DFT-relaxed cell (PBE, Alexandria) and copper Kα.
Intensities are scaled so that the largest is 100.

```
data_CeTh2Ga3
_chemical_formula_sum 'Ce4 Th8 Ga12'
_cell_length_a 14.2204
_cell_length_b 8.9941
_cell_length_c 4.8814
_cell_angle_alpha 90.00
_cell_angle_beta 90.00
_cell_angle_gamma 90.00
_space_group_name_H-M_alt 'C m c m'
_space_group_IT_number 63
_space_group_name_Hall '-C 2c 2'
loop_
_atom_site_label
_atom_site_type_symbol
_atom_site_fract_x
_atom_site_fract_y
_atom_site_fract_z
_atom_site_occupancy
Ce1 Ce 0.0000 0.0840 0.2500 1
Th1 Th 0.1398 0.3168 0.7500 1
Ga1 Ga 0.0000 0.4134 0.2500 1
Ga2 Ga 0.1936 0.0000 0.0000 1
```

Peak list (12 most intense, 15° ≤ 2θ ≤ 90°, low angle first)
| Position (°2θ) | I (rel.) | index |
| --- | --- | --- |
| 21.6 | 19 | 1 1 1 |
| 27.0 | 38 | 0 2 1 |
| 28.1 | 100 | 3 1 1 |
| 30.5 | 20 | 1 3 0 |
| 32.1 | 27 | 4 2 0 |
| 35.4 | 31 | 3 3 0 |
| 35.7 | 22 | 1 3 1 |
| 38.0 | 26 | 6 0 0 |
| 42.9 | 18 | 3 1 2 |
| 49.6 | 21 | 4 2 2 |
| 51.6 | 20 | 4 4 1 |
| 67.7 | 17 | 7 3 2 |